Diffraction record for LiCrFe4O8. The XRD peak list is calculated, not measured: it uses the PBE+U geometry in Alexandria and Cu Kα (weighted mean of Kα1 and Kα2).

Principal peaks in the range 10° ≤ 2θ ≤ 90°, by angle:
(2 0 -1), 18.45°, intensity 43; (2 0 -2), 29.95°, intensity 38; (3 1 -1), 30.33°, intensity 49; (0 2 1), 35.10°, intensity 100; (2 2 -1), 35.26°, intensity 24; (2 0 1), 35.49°, intensity 57; (3 1 0), 35.72°, intensity 20; (2 2 -2), 42.73°, intensity 23; (4 2 -3), 56.77°, intensity 19; (0 4 0), 61.84°, intensity 16; (2 2 2), 62.26°, intensity 46; (6 2 -2), 63.10°, intensity 28

Crystal structure
```
data_LiCrFe4O8
_chemical_formula_sum 'Li2 Cr2 Fe8 O16'
_symmetry_space_group_name_H-M 'C 1 2/m 1'
_symmetry_Int_Tables_number 12
_symmetry_space_group_name_Hall '-C 2y'
_cell_length_a 10.1477
_cell_length_b 6.0011
_cell_length_c 5.9696
_cell_angle_alpha 90.00
_cell_angle_beta 125.07
_cell_angle_gamma 90.00
loop_
_atom_site_label
_atom_site_type_symbol
_atom_site_fract_x
_atom_site_fract_y
_atom_site_fract_z
Li1 Li 0.0000 0.0000 0.0000
Cr1 Cr 0.0000 0.0000 0.5000
Fe1 Fe 0.1173 0.5000 0.3867
Fe2 Fe 0.2500 0.2500 0.0000
O1 O 0.0133 0.2373 0.7525
O2 O 0.2439 0.0000 0.7357
O3 O 0.2488 0.5000 0.7813
```